Diffraction record for Cr2Fe3CoP6O24. The X-ray diffraction stick pattern is simulated, not measured: it uses DFT lattice parameters and positions (GGA+U) and Cu Ka.

Atomic structure:
```
data_Cr2Fe3CoP6O24
_cell_length_a 8.5744
_cell_length_b 8.5744
_cell_length_c 20.2196
_cell_angle_alpha 90.00
_cell_angle_beta 90.00
_cell_angle_gamma 120.00
_space_group_name_H-M_alt 'R 3'
_space_group_IT_number 146
_space_group_name_Hall 'R 3'
loop_
_atom_site_label
_atom_site_type_symbol
_atom_site_fract_x
_atom_site_fract_y
_atom_site_fract_z
_atom_site_occupancy
Cr1 Cr 0.0000 0.0000 0.0000 1
Cr2 Cr 0.0000 0.0000 0.4993 1
Fe1 Fe 0.0000 0.0000 0.1449 1
Fe2 Fe 0.0000 0.0000 0.3533 1
Fe3 Fe 0.0000 0.0000 0.6463 1
Co1 Co 0.0000 0.0000 0.8596 1
P1 P 0.0347 0.6687 0.9148 1
P2 P 0.0416 0.3732 0.4183 1
O1 O 0.0023 0.1965 0.8142 1
O2 O 0.0043 0.7997 0.3110 1
O3 O 0.0105 0.1770 0.4281 1
O4 O 0.0114 0.8389 0.9258 1
O5 O 0.1393 0.6794 0.8532 1
O6 O 0.1425 0.4607 0.3549 1
O7 O 0.1642 0.6729 0.2380 1
O8 O 0.1673 0.4853 0.7392 1
```

Top 6 peaks for 2θ = 5–70°, by angle:
two_theta, intensity, h k l
20.72, 88, 1 1 0
24.61, 100, 2 -1 3
33.83, 68, 1 1 6
36.29, 41, 3 0 0
48.47, 29, 1 2 8
50.46, 27, 4 -2 6



Diffraction record for Na5Ni8O16. The X-ray diffraction stick pattern is simulated, not measured: it uses DFT lattice parameters and positions (GGA+U) and Cu Ka.

Atomic structure:
```
data_Na5Ni8O16
_cell_length_a 5.8543
_cell_length_b 6.8694
_cell_length_c 8.1932
_cell_angle_alpha 81.13
_cell_angle_beta 77.50
_cell_angle_gamma 78.79
_space_group_name_H-M_alt 'P -1'
_space_group_IT_number 2
_space_group_name_Hall '-P 1'
loop_
_atom_site_label
_atom_site_type_symbol
_atom_site_fract_x
_atom_site_fract_y
_atom_site_fract_z
_atom_site_occupancy
Na1 Na 0.0000 0.0000 0.0000 1
Na2 Na 0.0000 0.5000 0.5000 1
Na3 Na 0.2816 0.2676 0.7298 1
Na4 Na 0.5000 0.0000 0.0000 1
Ni1 Ni 0.1232 0.3747 0.1240 1
Ni2 Ni 0.1250 0.8770 0.6252 1
Ni3 Ni 0.3740 0.1219 0.3719 1
Ni4 Ni 0.3758 0.6268 0.8762 1
O1 O 0.0698 0.6485 0.0316 1
O2 O 0.0942 0.1482 0.5385 1
O3 O 0.1558 0.6053 0.7115 1
O4 O 0.1635 0.1035 0.2075 1
O5 O 0.3182 0.3948 0.2758 1
O6 O 0.3397 0.9019 0.7966 1
O7 O 0.4036 0.3539 0.9588 1
O8 O 0.4167 0.8541 0.4694 1
```

Top 6 peaks for 2θ = 5–70°, by angle:
two_theta, intensity, h k l
16.29, 100, 0 1 1
32.92, 14, 0 2 2
35.33, 9, 2 0 2
41.21, 26, 2 1 3
42.77, 22, 2 0 -2
43.40, 21, 0 3 -1



Diffraction record for Li4Mn3O5F3. The X-ray diffraction stick pattern is simulated, not measured: it uses DFT lattice parameters and positions (GGA+U) and Cu Ka.

Atomic structure:
```
data_Li4Mn3O5F3
_cell_length_a 13.1442
_cell_length_b 2.9330
_cell_length_c 10.2413
_cell_angle_alpha 90.00
_cell_angle_beta 129.69
_cell_angle_gamma 90.00
_space_group_name_H-M_alt 'C 1 m 1'
_space_group_IT_number 8
_space_group_name_Hall 'C -2y'
loop_
_atom_site_label
_atom_site_type_symbol
_atom_site_fract_x
_atom_site_fract_y
_atom_site_fract_z
_atom_site_occupancy
Li1 Li 0.0000 0.0000 0.0000 1
Li2 Li 0.0085 0.5000 0.2465 1
Li3 Li 0.0323 0.5000 0.7641 1
Li4 Li 0.4898 0.5000 0.4823 1
Mn1 Mn 0.2475 0.0000 0.3667 1
Mn2 Mn 0.2481 0.5000 0.1012 1
Mn3 Mn 0.2499 0.5000 0.6304 1
O1 O 0.1369 0.0000 0.9487 1
O2 O 0.1435 0.0000 0.4364 1
O3 O 0.1432 0.5000 0.2092 1
O4 O 0.3486 0.0000 0.2787 1
O5 O 0.3565 0.5000 0.5224 1
F1 F 0.0945 0.5000 0.6398 1
F2 F 0.3953 0.0000 0.8169 1
F3 F 0.4047 0.5000 0.0870 1
```

Top 6 peaks for 2θ = 5–70°, by angle:
two_theta, intensity, h k l
11.23, 36, 0 0 1
17.54, 100, 2 0 0
26.39, 27, 2 0 -3
35.70, 44, 4 0 -4
42.64, 73, 1 1 2
42.89, 39, 6 0 -4



Diffraction record for SrEuDyWO6. The X-ray diffraction stick pattern is simulated, not measured: it uses DFT lattice parameters and positions (GGA+U) and Cu Ka.

Atomic structure:
```
data_SrEuDyWO6
_cell_length_a 8.3820
_cell_length_b 8.3820
_cell_length_c 8.3820
_cell_angle_alpha 90.00
_cell_angle_beta 90.00
_cell_angle_gamma 90.00
_space_group_name_H-M_alt 'F -4 3 m'
_space_group_IT_number 216
_space_group_name_Hall 'F -4 2 3'
loop_
_atom_site_label
_atom_site_type_symbol
_atom_site_fract_x
_atom_site_fract_y
_atom_site_fract_z
_atom_site_occupancy
Sr1 Sr 0.0000 0.0000 0.0000 1
Eu1 Eu 0.0000 0.0000 0.5000 1
Dy1 Dy 0.2500 0.2500 0.7500 1
W1 W 0.2500 0.2500 0.2500 1
O1 O 0.0135 0.2500 0.2500 1
```

Top 6 peaks for 2θ = 5–70°, by angle:
two_theta, intensity, h k l
18.33, 4, 1 1 1
21.20, 7, 2 0 0
30.16, 100, 2 2 0
43.17, 28, 4 0 0
53.56, 41, 4 2 2
62.70, 18, 4 4 0



Diffraction record for MgV4P4O20. The X-ray diffraction stick pattern is simulated, not measured: it uses DFT lattice parameters and positions (GGA+U) and Cu Ka.

Atomic structure:
```
data_MgV4P4O20
_cell_length_a 5.1932
_cell_length_b 7.3433
_cell_length_c 10.3859
_cell_angle_alpha 100.05
_cell_angle_beta 102.01
_cell_angle_gamma 110.06
_space_group_name_H-M_alt 'P -1'
_space_group_IT_number 2
_space_group_name_Hall '-P 1'
loop_
_atom_site_label
_atom_site_type_symbol
_atom_site_fract_x
_atom_site_fract_y
_atom_site_fract_z
_atom_site_occupancy
Mg1 Mg 0.0000 0.0000 0.0000 1
V1 V 0.3110 0.7336 0.7424 1
V2 V 0.5000 0.0000 0.5000 1
V3 V 0.5000 0.5000 0.0000 1
P1 P 0.0307 0.9465 0.2290 1
P2 P 0.3399 0.5548 0.2854 1
O1 O 0.0522 0.4703 0.3224 1
O2 O 0.1211 0.9649 0.3799 1
O3 O 0.1347 0.9192 0.8183 1
O4 O 0.1490 0.2622 0.8716 1
O5 O 0.2772 0.5270 0.1306 1
O6 O 0.2950 0.0260 0.1696 1
O7 O 0.3128 0.8322 0.5978 1
O8 O 0.3982 0.6742 0.9066 1
O9 O 0.4874 0.5718 0.6695 1
O10 O 0.4949 0.2281 0.6300 1
```

Top 6 peaks for 2θ = 5–70°, by angle:
two_theta, intensity, h k l
18.08, 93, 0 0 2
19.67, 57, -1 1 1
27.06, 93, 0 1 -3
27.33, 100, 1 1 0
28.20, 55, -1 2 1
31.66, 36, 1 1 1



Diffraction record for Mn12O7F17. The X-ray diffraction stick pattern is simulated, not measured: it uses DFT lattice parameters and positions (GGA+U) and Cu Ka.

Atomic structure:
```
data_Mn12O7F17
_cell_length_a 5.3946
_cell_length_b 5.4355
_cell_length_c 15.0959
_cell_angle_alpha 84.56
_cell_angle_beta 84.41
_cell_angle_gamma 88.40
_space_group_name_H-M_alt 'P 1'
_space_group_IT_number 1
_space_group_name_Hall 'P 1'
loop_
_atom_site_label
_atom_site_type_symbol
_atom_site_fract_x
_atom_site_fract_y
_atom_site_fract_z
_atom_site_occupancy
Mn1 Mn 0.0000 0.0000 0.0000 1
Mn2 Mn 0.0019 0.0570 0.3285 1
Mn3 Mn 0.0256 0.5018 0.1524 1
Mn4 Mn 0.3695 0.9694 0.1466 1
Mn5 Mn 0.4053 0.9382 0.8157 1
Mn6 Mn 0.4493 0.9040 0.4856 1
Mn7 Mn 0.4868 0.4643 0.9981 1
Mn8 Mn 0.5010 0.3860 0.6525 1
Mn9 Mn 0.5318 0.4352 0.3173 1
Mn10 Mn 0.9442 0.5842 0.8172 1
Mn11 Mn 0.9496 0.0706 0.6579 1
Mn12 Mn 0.9767 0.5737 0.4906 1
O1 O 0.0934 0.8538 0.7478 1
O2 O 0.1442 0.8383 0.4186 1
O3 O 0.1852 0.2342 0.0883 1
O4 O 0.2514 0.7318 0.0755 1
O5 O 0.6342 0.1214 0.7236 1
O6 O 0.8074 0.3264 0.5750 1
O7 O 0.8560 0.3015 0.2481 1
F1 F 0.0396 0.7870 0.2385 1
F2 F 0.1675 0.3468 0.4067 1
F3 F 0.1718 0.6969 0.9056 1
F4 F 0.1740 0.3544 0.7339 1
F5 F 0.2798 0.1007 0.5882 1
F6 F 0.3047 0.5922 0.5681 1
F7 F 0.3234 0.1831 0.9151 1
F8 F 0.3402 0.1687 0.2558 1
F9 F 0.5389 0.7229 0.2202 1
F10 F 0.6452 0.6101 0.7438 1
F11 F 0.6654 0.7704 0.8988 1
F12 F 0.6695 0.1396 0.0697 1
F13 F 0.6727 0.6365 0.4118 1
F14 F 0.6792 0.1330 0.4025 1
F15 F 0.7833 0.6401 0.0614 1
F16 F 0.7848 0.8185 0.5639 1
F17 F 0.8361 0.3070 0.9023 1
```

Top 6 peaks for 2θ = 5–70°, by angle:
two_theta, intensity, h k l
23.12, 30, 0 1 3
27.32, 67, 1 1 3
29.68, 100, 1 -1 3
31.21, 42, 1 1 -3
47.32, 28, 2 0 6
52.39, 26, 2 0 -6



Diffraction record for Fe2O3. The X-ray diffraction stick pattern is simulated, not measured: it uses DFT lattice parameters and positions (GGA+U) and Cu Ka.

Atomic structure:
```
data_Fe2O3
_cell_length_a 9.5561
_cell_length_b 9.5561
_cell_length_c 9.5561
_cell_angle_alpha 90.00
_cell_angle_beta 90.00
_cell_angle_gamma 90.00
_space_group_name_H-M_alt 'I a -3'
_space_group_IT_number 206
_space_group_name_Hall '-I 2b 2c 3'
loop_
_atom_site_label
_atom_site_type_symbol
_atom_site_fract_x
_atom_site_fract_y
_atom_site_fract_z
_atom_site_occupancy
Fe1 Fe 0.0000 0.2500 0.4619 1
Fe2 Fe 0.2500 0.2500 0.2500 1
O1 O 0.1098 0.1573 0.6163 1
```

Top 6 peaks for 2θ = 5–70°, by angle:
two_theta, intensity, h k l
22.79, 17, 2 1 1
32.46, 100, 2 2 2
37.65, 17, 4 0 0
48.58, 12, 4 1 3
54.30, 42, 4 4 0
64.70, 22, 6 2 2



What did the seventh record say?
Diffraction record for Fe2O3. The X-ray diffraction stick pattern is simulated, not measured: it uses DFT lattice parameters and positions (GGA+U) and Cu Ka.

Atomic structure:
```
data_Fe2O3
_cell_length_a 9.5561
_cell_length_b 9.5561
_cell_length_c 9.5561
_cell_angle_alpha 90.00
_cell_angle_beta 90.00
_cell_angle_gamma 90.00
_space_group_name_H-M_alt 'I a -3'
_space_group_IT_number 206
_space_group_name_Hall '-I 2b 2c 3'
loop_
_atom_site_label
_atom_site_type_symbol
_atom_site_fract_x
_atom_site_fract_y
_atom_site_fract_z
_atom_site_occupancy
Fe1 Fe 0.0000 0.2500 0.4619 1
Fe2 Fe 0.2500 0.2500 0.2500 1
O1 O 0.1098 0.1573 0.6163 1
```

Top 6 peaks for 2θ = 5–70°, by angle:
two_theta, intensity, h k l
22.79, 17, 2 1 1
32.46, 100, 2 2 2
37.65, 17, 4 0 0
48.58, 12, 4 1 3
54.30, 42, 4 4 0
64.70, 22, 6 2 2